This entry pairs a crystal structure of PmMg2 with its computed powder XRD pattern. Radiation: copper Kα. Structure: DFT lattice parameters and positions (PBE).
Kinematic intensities with the Lorentz-polarization factor, no thermal factor.

Cell and atoms:
Lattice parameters (Å, degrees): 8.641 8.641 8.641 90.00 90.00 90.00
Space group Fd-3m (No. 227, origin choice 2)
Symmetry-distinct sites (fractional):
Pm  0.125  0.125  0.125
Mg  0.000  0.000  0.500

Peak list (6 most intense, 10° ≤ 2θ ≤ 90°, most intense first)
d [Å]  intensity
2.605  100
3.055  99
4.989  60
1.764  40
1.663  34
1.528  22